The following is a theoretical powder XRD pattern of Mn3Nb2Cr3O16. It was derived from a PBE+U-relaxed structure, using Cu Kα (λ = 1.5418 Å).
Neutral-atom scattering factors, no anomalous dispersion.

Atomic structure:
Cell: 5.9127 5.9141 9.3053 Å, 90.02 90.47 119.60°
Space group P1 (No. 1)
Inequivalent atoms, fractional coordinates:
Mn1 0.0000 0.0000 0.0000 [1 per cell]
Mn2 0.0002 0.4943 0.0000 [1 per cell]
Mn3 0.1714 0.8330 0.4970 [1 per cell]
Nb1 0.1681 0.3316 0.2846 [1 per cell]
Nb2 0.4967 0.9973 0.7860 [1 per cell]
Cr1 0.4929 0.4937 0.9998 [1 per cell]
Cr2 0.6615 0.3241 0.4971 [1 per cell]
Cr3 0.6664 0.8374 0.5063 [1 per cell]
O1 0.9995 0.0011 0.3859 [1 per cell]
O2 0.0015 0.4958 0.3853 [1 per cell]
O3 0.1523 0.3228 0.8953 [1 per cell]
O4 0.1641 0.8282 0.8863 [1 per cell]
O5 0.2981 0.6167 0.1208 [1 per cell]
O6 0.2988 0.1756 0.1208 [1 per cell]
O7 0.3447 0.1305 0.6192 [1 per cell]
O8 0.3486 0.7053 0.6187 [1 per cell]
O9 0.4920 0.9839 0.3947 [1 per cell]
O10 0.4940 0.4978 0.3829 [1 per cell]
O11 0.6654 0.3267 0.8834 [1 per cell]
O12 0.6647 0.8323 0.8842 [1 per cell]
O13 0.7819 0.1297 0.6238 [1 per cell]
O14 0.8343 0.6731 0.5878 [1 per cell]
O15 0.8405 0.6675 0.0953 [1 per cell]
O16 0.8710 0.1832 0.1155 [1 per cell]

Peak list (8 most intense, 5 to 70 degrees two-theta, in order of rising 2θ)
| 2θ/deg | I (rel.) |
| --- | --- |
| 19.08 | 37 |
| 19.67 | 57 |
| 19.80 | 100 |
| 33.78 | 19 |
| 35.98 | 34 |
| 36.16 | 29 |
| 36.33 | 18 |
| 62.86 | 26 |

---

The following is a theoretical powder XRD pattern of Sr2YTlFe2O7. It was derived from a PBE+U-relaxed structure, using Cu Kα (λ = 1.5418 Å).
Neutral-atom scattering factors, no anomalous dispersion.

Atomic structure:
Cell: 3.8730 3.8730 13.0039 Å, 90.00 90.00 90.00°
Space group P4/mmm (No. 123)
Inequivalent atoms, fractional coordinates:
Sr1 0.0000 0.0000 0.1888 [2 per cell]
Y1 0.0000 0.0000 0.5000 [1 per cell]
Tl1 0.5000 0.5000 0.0000 [1 per cell]
Fe1 0.5000 0.5000 0.3520 [2 per cell]
O1 0.0000 0.0000 0.0000 [1 per cell]
O2 0.0000 0.5000 0.3907 [4 per cell]
O3 0.5000 0.5000 0.2055 [2 per cell]

Peak list (8 most intense, 5 to 70 degrees two-theta, in order of rising 2θ)
| 2θ/deg | I (rel.) |
| --- | --- |
| 6.80 | 12 |
| 23.97 | 14 |
| 26.79 | 12 |
| 30.96 | 100 |
| 32.70 | 52 |
| 46.92 | 27 |
| 53.95 | 23 |
| 57.28 | 35 |